Computed powder XRD pattern of KNaMnO2 for Cu Kα X-rays, from a structure optimized by DFT (GGA+U).

Structure:
a = 9.543 Å, b = 9.760 Å, c = 7.106 Å
α = 90.00°, β = 90.00°, γ = 90.00°
Space group Cccm (No. 66)
Unique sites:
K 0.000 0.000 0.250 x4
K 0.250 0.250 0.000 x4
Na 0.150 0.500 0.250 x8
Mn 0.105 0.268 0.500 x8
O 0.000 0.303 0.250 x8
O 0.222 0.086 0.500 x8

Largest 10 diffraction maxima, most intense first, 2θ = 10–80°:
two_theta, d_spacing, intensity
31.14, 2.872, 100.0
32.17, 2.783, 77.5
41.70, 2.166, 59.8
18.02, 4.922, 41.6
36.84, 2.440, 38.5
47.48, 1.915, 27.4
31.39, 2.850, 27.2
18.18, 4.880, 26.4
51.44, 1.776, 25.5
56.06, 1.641, 22.2